Starting from a PBE-relaxed structure, the PXRD pattern of NpPaTlO6 was computed for Cu Kα (λ = 1.5418 Å).
Neutral-atom scattering factors, no anomalous dispersion.

Cell and atoms:
```
data_NpPaTlO6
_space_group_name_H-M_alt 'I m m a'
_space_group_IT_number 74
_space_group_name_Hall '-I 2b 2'
_cell_length_a 7.9682
_cell_length_b 7.9845
_cell_length_c 11.3289
_cell_angle_alpha 90.00
_cell_angle_beta 90.00
_cell_angle_gamma 90.00
loop_
_atom_site_label
_atom_site_type_symbol
_atom_site_fract_x
_atom_site_fract_y
_atom_site_fract_z
_atom_site_occupancy
Np1 Np 0.2500 0.2500 0.2500 1
Pa1 Pa 0.0000 0.0000 0.0000 1
Tl1 Tl 0.0000 0.2500 0.6881 1
O1 O 0.0000 0.2500 0.3074 1
O2 O 0.0000 0.2500 0.9230 1
O3 O 0.1926 0.0655 0.1290 1
```

Main lines, sorted by position (2θ from 10° to 90°):
hkl  2θ (°)  I (rel.)
1 0 1  13.6  41
0 2 0  22.3  23
1 0 3  26.1  92
2 1 1  26.2  87
0 2 2  27.3  100
3 0 3  41.6  47
0 4 0  45.4  40
1 2 5  47.6  31
4 2 2  53.9  32
2 5 1  63.3  21